# 1
This entry pairs a crystal structure of NaCNO with its computed X-ray diffraction stick pattern. Radiation: Cu Ka. Structure: a DFT-relaxed cell (PBE, the Materials Project).
Kinematic intensities with the Lorentz-polarization factor, no thermal factor.

```
NaCNO
1.0
4.3952 -4.7443 0.0000
4.3952 4.7443 0.0000
-4.0968 0.0000 4.4049
Na C N O
1 1 1 1
Cartesian
0.0000 0.0000 0.0000
-1.8514 0.0000 2.5522
-1.9515 0.0000 3.7453
7.0467 0.0000 1.3279
```

Peak list (6 most intense, 15° ≤ 2θ ≤ 90°, in order of rising 2θ)
two_theta  intensity
16.64  100
18.70  50
27.70  11
31.52  18
34.29  8
37.93  6


# 2
This entry pairs a crystal structure of NaCNO2 with its computed X-ray diffraction stick pattern. Radiation: Cu Ka. Structure: a DFT-relaxed cell (PBE, the Materials Project).
Kinematic intensities with the Lorentz-polarization factor, no thermal factor.

```
NaCNO2
1.0
4.1768 0.0000 0.0000
0.0000 10.1737 0.0000
-3.0214 0.0000 6.6394
Na C N O
4 4 4 8
Cartesian
-0.8657 2.3478 2.8990
-2.3765 2.7390 6.2187
3.5318 7.4347 0.4207
2.0211 7.8258 3.7404
-0.5740 5.2637 5.0018
0.9367 9.9968 1.6821
0.2186 0.1769 4.9573
1.7293 4.9100 1.6376
0.4442 0.9510 1.2579
-1.0666 4.1359 4.5776
2.2219 6.0378 2.0618
0.7112 9.2227 5.3815
0.6168 5.6632 1.4461
-0.8939 9.5973 4.7658
-0.8095 6.4653 5.2115
0.7012 8.7952 1.8918
0.4541 1.3785 4.7476
1.9649 3.7084 1.4279
2.0492 0.5764 1.8736
0.5385 4.5104 5.1933
```

Peak list (6 most intense, 15° ≤ 2θ ≤ 90°, in order of rising 2θ)
two_theta  intensity
26.86  65
27.39  68
28.78  100
29.33  69
32.20  98
37.91  35


# 3
This entry pairs a crystal structure of Nb2C3N6 with its computed X-ray diffraction stick pattern. Radiation: Cu Ka. Structure: a DFT-relaxed cell (PBE, the Materials Project).
Kinematic intensities with the Lorentz-polarization factor, no thermal factor.

```
Nb2C3N6
1.0
4.9249 -2.6907 0.0000
4.9249 2.6907 0.0000
-3.3910 0.0000 10.1766
Nb C N
4 6 12
Cartesian
2.5801 1.4996 5.0995
2.1833 1.4996 10.1653
4.2756 -1.4996 0.0113
3.8788 -1.4996 5.0770
0.7302 0.4678 2.7257
-0.9653 -0.4678 7.8140
4.0772 0.4139 2.5441
2.3817 -0.4139 7.6324
7.4241 0.4678 2.3626
5.7286 -0.4678 7.4509
0.6266 0.3140 1.5035
0.7921 0.6641 3.9386
-1.0689 -0.3140 6.5918
-0.9034 -0.6641 9.0269
4.3596 0.3893 1.3442
3.7947 0.3893 3.7441
2.6641 -0.3893 6.4325
2.0992 -0.3893 8.8324
7.3622 0.6641 1.1496
7.5278 0.3140 3.5848
5.6667 -0.6641 6.2379
5.8323 -0.3140 8.6731
```

Peak list (6 most intense, 15° ≤ 2θ ≤ 90°, in order of rising 2θ)
two_theta  intensity
17.43  100
19.00  79
19.65  56
36.46  52
36.75  53
37.82  52


Repeat the first record exactly.
This entry pairs a crystal structure of NaCNO with its computed X-ray diffraction stick pattern. Radiation: Cu Ka. Structure: a DFT-relaxed cell (PBE, the Materials Project).
Kinematic intensities with the Lorentz-polarization factor, no thermal factor.

```
NaCNO
1.0
4.3952 -4.7443 0.0000
4.3952 4.7443 0.0000
-4.0968 0.0000 4.4049
Na C N O
1 1 1 1
Cartesian
0.0000 0.0000 0.0000
-1.8514 0.0000 2.5522
-1.9515 0.0000 3.7453
7.0467 0.0000 1.3279
```

Peak list (6 most intense, 15° ≤ 2θ ≤ 90°, in order of rising 2θ)
two_theta  intensity
16.64  100
18.70  50
27.70  11
31.52  18
34.29  8
37.93  6